(1)
For CaPmPr4S8, a cell relaxed with GGA-PBE gives the computed XRD peak list in this record (a wavelength of 1.5418 Å).
Lines closer than 0.1° are merged.

```
CaPmPr4S8
1.0
4.1980 2.4237 6.8264
-4.1980 2.4237 6.8264
0.0000 -4.8474 6.8264
Ca Pm Pr S
1 1 4 8
Cartesian
0.0000 0.0000 0.0000 Ca
0.0000 0.0000 12.8388 Pm
-2.1294 -1.2294 9.3725 Pr
0.0000 0.0000 5.1096 Pr
2.1294 -1.2294 9.3725 Pr
0.0000 2.4588 9.3725 Pr
0.0000 0.0000 7.8428 S
0.0000 -2.2432 11.0587 S
-1.9427 1.1216 11.0587 S
-1.9523 -1.1272 14.5347 S
1.9427 1.1216 11.0587 S
1.9523 -1.1272 14.5347 S
0.0000 2.2543 14.5347 S
0.0000 0.0000 17.7561 S
```

Main lines, in order of falling intensity (15 to 90 degrees two-theta):
d [Å]  two_theta  I/Imax
3.575  24.9  100
2.282  39.5  44
2.964  30.1  38
2.099  43.1  33
2.093  43.2  33
3.423  26.0  17
1.211  79.1  16
4.192  21.2  15

(2)
For CaPm2PrSb4, a cell relaxed with GGA-PBE gives the computed XRD peak list in this record (a wavelength of 1.5418 Å).
Lines closer than 0.1° are merged.

```
CaPm2PrSb4
1.0
0.0000 6.4123 4.5140
4.5148 0.0000 4.5140
4.5148 6.4123 0.0000
Ca Pm Pr Sb
1 2 1 4
Cartesian
0.0000 0.0000 0.0000 Ca
2.2574 3.2062 2.2785 Pm
6.7722 9.6185 6.7925 Pm
4.5148 6.4123 4.5152 Pr
6.7697 6.4123 2.2594 Sb
4.5148 3.2249 4.5339 Sb
2.2599 6.4123 2.2594 Sb
4.5148 9.5998 4.5339 Sb
```

Main lines, in order of falling intensity (15 to 90 degrees two-theta):
d [Å]  two_theta  I/Imax
2.260  39.9  100
3.192  28.0  87
3.206  27.8  44
1.846  49.4  36
1.428  65.3  30
1.304  72.5  22
1.433  65.1  15
1.307  72.3  11

(3)
For CaTb2Pm6Pr, a cell relaxed with GGA-PBE gives the computed XRD peak list in this record (a wavelength of 1.5418 Å).
Lines closer than 0.1° are merged.

```
CaTb2Pm6Pr
1.0
4.6130 -7.7472 0.0000
4.6130 7.7472 0.0000
-1.3861 0.0000 9.8116
Ca Tb Pm Pr
2 4 12 2
Cartesian
3.5734 6.2384 7.3587 Ca
4.2665 -6.2384 2.4529 Ca
0.9809 0.7907 9.3773 Tb
1.6739 -0.7907 4.4715 Tb
6.1660 0.7907 5.3401 Tb
6.8591 -0.7907 0.4343 Tb
3.1417 6.0853 3.7118 Pm
2.4990 3.5671 1.7306 Pm
5.3913 6.0853 1.1940 Pm
3.2642 2.7588 5.4154 Pm
3.8827 2.7588 9.3020 Pm
6.0339 3.5671 3.1752 Pm
1.8060 -3.5671 6.6364 Pm
3.9572 -2.7588 0.5096 Pm
4.5757 -2.7588 4.3962 Pm
2.4487 -6.0853 8.6176 Pm
5.3409 -3.5671 8.0810 Pm
4.6982 -6.0853 6.0998 Pm
4.2665 0.3992 2.4529 Pr
3.5734 -0.3992 7.3587 Pr
```

Main lines, in order of falling intensity (15 to 90 degrees two-theta):
d [Å]  two_theta  I/Imax
2.903  30.8  100
2.974  30.0  64
3.206  27.8  49
2.736  32.7  42
3.013  29.6  41
2.847  31.4  40
2.935  30.5  37
2.426  37.1  17

(4)
For CaPm4PrY2, a cell relaxed with GGA-PBE gives the computed XRD peak list in this record (a wavelength of 1.5418 Å).
Lines closer than 0.1° are merged.

```
CaPm4PrY2
1.0
6.0022 0.0000 0.0000
0.0000 6.0171 0.0000
0.0000 0.0000 7.7353
Ca Pm Pr Y
1 4 1 2
Cartesian
0.0000 0.0000 0.0000 Ca
0.0000 3.0085 1.9643 Pm
0.0000 3.0085 5.7711 Pm
3.0011 0.0000 1.9629 Pm
3.0011 0.0000 5.7724 Pm
3.0011 3.0085 3.8677 Pr
0.0000 0.0000 3.8677 Y
3.0011 3.0085 0.0000 Y
```

Main lines, in order of falling intensity (15 to 90 degrees two-theta):
d [Å]  two_theta  I/Imax
2.860  31.3  100
3.005  29.7  57
1.706  53.7  43
2.125  42.5  21
1.626  56.6  18
1.430  65.2  12
1.330  70.8  9
1.934  47.0  8

(5)
For Ca2Pm2Pt3, a cell relaxed with GGA-PBE gives the computed XRD peak list in this record (a wavelength of 1.5418 Å).
Lines closer than 0.1° are merged.

```
Ca2Pm2Pt3
1.0
2.4954 1.4407 8.1781
-2.4954 1.4407 8.1781
0.0000 -2.8815 8.1781
Ca Pm Pt
2 2 3
Cartesian
0.0000 0.0000 3.1652 Ca
0.0000 0.0000 21.3690 Ca
0.0000 0.0000 9.2834 Pm
0.0000 0.0000 15.2507 Pm
0.0000 0.0000 6.3071 Pt
0.0000 0.0000 12.2671 Pt
0.0000 0.0000 18.2271 Pt
```

Main lines, in order of falling intensity (15 to 90 degrees two-theta):
d [Å]  two_theta  I/Imax
2.498  35.9  100
4.257  20.9  29
1.441  64.7  27
1.767  51.7  17
1.841  49.5  14
4.080  21.8  9
2.725  32.9  9
1.117  87.3  8

(6)
For CaPm3Pt2, a cell relaxed with GGA-PBE gives the computed XRD peak list in this record (a wavelength of 1.5418 Å).
Lines closer than 0.1° are merged.

```
CaPm3Pt2
1.0
-3.5092 7.0155 3.6490
3.5092 -7.0155 3.6490
3.5092 7.0155 -3.6490
Ca Pm Pt
2 6 4
Cartesian
0.0000 0.0000 0.0000 Ca
0.0000 0.0000 3.6490 Ca
3.5092 3.7129 -1.8245 Pm
3.5092 0.0000 1.8245 Pm
0.0000 3.3025 1.8245 Pm
3.5092 3.7129 1.8245 Pm
0.0000 7.0155 1.8245 Pm
0.0000 3.3025 5.4736 Pm
4.9674 1.9651 0.0000 Pt
1.4582 5.0503 0.0000 Pt
2.0510 1.9651 3.6490 Pt
-1.4582 5.0503 3.6490 Pt
```

Main lines, in order of falling intensity (15 to 90 degrees two-theta):
d [Å]  two_theta  I/Imax
2.529  35.5  100
4.103  21.7  85
2.481  36.2  52
2.662  33.7  27
1.441  64.7  21
1.470  63.3  21
2.123  42.6  20
2.184  41.3  16

Which formula does entry 5 have?
Ca2Pm2Pt3

What is the formula in the first record?
CaPmPr4S8